The following is a simulated powder X-ray diffraction pattern of CsYbMo2O8. It was derived from the GGA+U geometry in Alexandria, using Cu Kα X-rays.
Neutral-atom scattering factors, no anomalous dispersion.

Cell and atoms:
```
CsYbMo2O8
1.0
5.106 0.000 0.000
0.000 9.779 0.000
0.000 0.000 8.177
Cs Yb Mo O
2 2 4 16
direct
0.000 0.000 0.250
0.000 0.000 0.750
0.000 0.500 0.250
0.000 0.500 0.750
0.480 0.307 0.000
0.480 0.693 0.500
0.520 0.307 0.500
0.520 0.693 0.000
0.250 0.435 0.500
0.250 0.565 0.000
0.262 0.316 0.175
0.262 0.316 0.825
0.262 0.684 0.325
0.262 0.684 0.675
0.383 0.143 0.500
0.383 0.857 0.000
0.617 0.143 0.000
0.617 0.857 0.500
0.738 0.316 0.325
0.738 0.316 0.675
0.738 0.684 0.175
0.738 0.684 0.825
0.750 0.435 0.000
0.750 0.565 0.500
```

Top 8 peaks for 10 to 90 degrees two-theta, in order of rising 2θ:
d = 3.532 Å, I 100, (1 2 0)
d = 3.191 Å, I 99, (1 0 2)
d = 3.136 Å, I 58, (0 2 2)
d = 2.552 Å, I 19, (2 0 0)
d = 2.044 Å, I 15, (0 0 4)
d = 1.980 Å, I 45, (2 2 2)
d = 1.941 Å, I 17, (1 4 2)
d = 1.769 Å, I 27, (1 2 4)